(1)
Diffraction record for Mn3CoAs2. The powder XRD pattern is calculated, not measured: it uses a cell relaxed with GGA-PBE and Cu Kα (weighted mean of Kα1 and Kα2).
Peak positions follow from Bragg's law for the DFT cell and can differ from measured ones.

Structure:
Unit cell a=3.6893 b=3.6893 c=6.1369 alpha=90.00 beta=90.00 gamma=90.00
Space group P-4m2 (No. 115)
Symmetry-distinct sites (fractional):
Mn: 0.0000 0.0000 0.0000 [1 per cell]
Mn: 0.0000 0.5000 0.3244 [2 per cell]
Co: 0.5000 0.5000 0.0000 [1 per cell]
As: 0.0000 0.5000 0.7329 [2 per cell]

Top 12 peaks for 10° ≤ 2θ ≤ 90°, in order of rising 2θ:
| 2θ/deg | I/Imax | (hkl) |
| --- | --- | --- |
| 14.43 | 11.6 | 0 0 1 |
| 28.22 | 9.6 | 1 0 1 |
| 34.38 | 22.3 | 1 1 0 |
| 37.46 | 54.6 | 1 1 1 |
| 44.28 | 18.6 | 0 0 3 |
| 45.65 | 100.0 | 1 1 2 |
| 49.41 | 51.2 | 2 0 0 |
| 51.05 | 10.7 | 1 0 3 |
| 68.49 | 18.3 | 2 0 3 |
| 72.46 | 15.2 | 2 2 0 |
| 87.92 | 9.3 | 1 1 5 |
| 89.97 | 26.7 | 3 1 2 |

***

(2)
Diffraction record for Mn3CoAs3Rh2. The powder XRD pattern is calculated, not measured: it uses a cell relaxed with GGA-PBE and Cu Kα (weighted mean of Kα1 and Kα2).
Peak positions follow from Bragg's law for the DFT cell and can differ from measured ones.

Structure:
Unit cell a=3.6537 b=11.1882 c=6.3206 alpha=90.00 beta=90.00 gamma=90.00
Space group Amm2 (No. 38)
Symmetry-distinct sites (fractional):
Mn: 0.0000 0.0000 0.0000 [2 per cell]
Mn: 0.0000 0.2021 0.3826 [4 per cell]
Co: 0.5000 0.0000 0.3271 [2 per cell]
As: 0.0000 0.0000 0.5677 [2 per cell]
As: 0.5000 0.1615 0.0967 [4 per cell]
Rh: 0.5000 0.1308 0.7150 [4 per cell]

Top 12 peaks for 10° ≤ 2θ ≤ 90°, in order of rising 2θ:
| 2θ/deg | I/Imax | (hkl) |
| --- | --- | --- |
| 24.36 | 32.9 | 1 0 0 |
| 37.27 | 100.0 | 1 3 1 |
| 37.63 | 88.9 | 1 0 2 |
| 40.62 | 87.4 | 1 4 0 |
| 41.06 | 92.8 | 1 2 2 |
| 42.87 | 27.5 | 0 5 1 |
| 43.19 | 41.6 | 0 4 2 |
| 49.70 | 52.0 | 0 3 3 |
| 49.92 | 87.1 | 2 0 0 |
| 50.21 | 33.3 | 1 4 2 |
| 50.68 | 32.2 | 1 1 3 |
| 73.11 | 31.8 | 2 3 3 |

***

(3)
Diffraction record for CoNiAs. The powder XRD pattern is calculated, not measured: it uses a cell relaxed with GGA-PBE and Cu Kα (weighted mean of Kα1 and Kα2).
Peak positions follow from Bragg's law for the DFT cell and can differ from measured ones.

Structure:
Unit cell a=6.0960 b=6.0960 c=3.4045 alpha=90.00 beta=90.00 gamma=120.00
Space group P-62m (No. 189)
Symmetry-distinct sites (fractional):
Co: 0.0000 0.6090 0.0000 [3 per cell]
Ni: 0.0000 0.2616 0.5000 [3 per cell]
As: 0.0000 0.0000 0.0000 [1 per cell]
As: 0.3333 0.6667 0.5000 [2 per cell]

Top 12 peaks for 10° ≤ 2θ ≤ 90°, in order of rising 2θ:
| 2θ/deg | I/Imax | (hkl) |
| --- | --- | --- |
| 29.30 | 7.2 | 1 1 0 |
| 31.26 | 9.4 | 1 0 1 |
| 39.69 | 100.0 | 1 1 1 |
| 43.38 | 84.3 | 2 0 1 |
| 45.46 | 32.8 | 2 1 0 |
| 51.96 | 51.7 | 3 0 0 |
| 53.21 | 42.1 | 2 1 1 |
| 53.86 | 29.0 | 0 0 2 |
| 73.07 | 14.2 | 2 1 2 |
| 78.11 | 29.4 | 3 0 2 |
| 84.01 | 6.5 | 4 1 0 |
| 85.00 | 29.0 | 3 2 1 |

***

(4)
Diffraction record for CoNiAs2S2. The powder XRD pattern is calculated, not measured: it uses a cell relaxed with GGA-PBE and Cu Kα (weighted mean of Kα1 and Kα2).
Peak positions follow from Bragg's law for the DFT cell and can differ from measured ones.

Structure:
Unit cell a=5.6227 b=5.6328 c=5.6289 alpha=90.00 beta=90.15 gamma=90.00
Space group P2_1 (No. 4)
Symmetry-distinct sites (fractional):
Co: 0.0065 0.0000 0.2576 [2 per cell]
Ni: 0.4916 0.0156 0.7580 [2 per cell]
As: 0.1162 0.3834 0.1261 [2 per cell]
As: 0.3737 0.6266 0.6311 [2 per cell]
S: 0.1122 0.1272 0.6296 [2 per cell]
S: 0.3777 0.8927 0.1360 [2 per cell]

Top 12 peaks for 10° ≤ 2θ ≤ 90°, in order of rising 2θ:
| 2θ/deg | I/Imax | (hkl) |
| --- | --- | --- |
| 22.34 | 16.1 | 1 0 1 |
| 27.45 | 13.0 | 1 1 1 |
| 31.80 | 49.4 | 2 0 0 |
| 35.67 | 100.0 | 1 0 -2 |
| 39.21 | 67.8 | 2 1 1 |
| 45.57 | 23.8 | 0 2 2 |
| 54.02 | 72.3 | 1 1 3 |
| 54.12 | 13.3 | 3 1 1 |
| 59.17 | 20.0 | 0 2 3 |
| 61.63 | 26.2 | 3 2 -1 |
| 61.75 | 8.5 | 2 1 3 |
| 77.71 | 11.7 | 1 4 -2 |

***

(5)
Diffraction record for CoAsPd. The powder XRD pattern is calculated, not measured: it uses a cell relaxed with GGA-PBE and Cu Kα (weighted mean of Kα1 and Kα2).
Peak positions follow from Bragg's law for the DFT cell and can differ from measured ones.

Structure:
Unit cell a=3.7310 b=3.7310 c=6.3095 alpha=90.00 beta=90.00 gamma=90.00
Space group P4/nmm (No. 129, origin choice 2)
Symmetry-distinct sites (fractional):
Co: 0.2500 0.2500 0.1342 [2 per cell]
As: 0.2500 0.2500 0.7830 [2 per cell]
Pd: 0.2500 0.7500 0.5000 [2 per cell]

Top 12 peaks for 10° ≤ 2θ ≤ 90°, in order of rising 2θ:
| 2θ/deg | I/Imax | (hkl) |
| --- | --- | --- |
| 14.04 | 25.6 | 0 0 1 |
| 36.93 | 100.0 | 1 1 1 |
| 43.01 | 24.6 | 0 0 3 |
| 44.78 | 72.9 | 1 1 2 |
| 48.82 | 49.5 | 2 0 0 |
| 49.77 | 14.7 | 1 0 3 |
| 67.06 | 25.0 | 2 0 3 |
| 71.52 | 15.2 | 2 2 0 |
| 72.28 | 9.2 | 2 1 3 |
| 83.32 | 17.8 | 3 1 1 |
| 87.24 | 12.2 | 2 2 3 |
| 88.47 | 20.5 | 3 1 2 |

***

(6)
Diffraction record for CoAsS. The powder XRD pattern is calculated, not measured: it uses a cell relaxed with GGA-PBE and Cu Kα (weighted mean of Kα1 and Kα2).
Peak positions follow from Bragg's law for the DFT cell and can differ from measured ones.

Structure:
Unit cell a=5.5859 b=5.5904 c=5.5794 alpha=90.00 beta=90.00 gamma=90.00
Space group Pca2_1 (No. 29)
Symmetry-distinct sites (fractional):
Co: 0.0066 0.2391 0.0000 [4 per cell]
As: 0.1211 0.6294 0.8817 [4 per cell]
S: 0.1187 0.1293 0.6211 [4 per cell]

Top 12 peaks for 10° ≤ 2θ ≤ 90°, in order of rising 2θ:
| 2θ/deg | I/Imax | (hkl) |
| --- | --- | --- |
| 15.85 | 12.0 | 0 1 0 |
| 27.66 | 12.9 | 1 1 1 |
| 32.05 | 59.9 | 0 0 2 |
| 35.95 | 100.0 | 2 0 1 |
| 39.52 | 86.0 | 1 2 1 |
| 45.96 | 30.0 | 2 0 2 |
| 54.49 | 91.6 | 3 1 1 |
| 57.13 | 9.7 | 2 2 2 |
| 59.69 | 26.0 | 2 0 3 |
| 62.19 | 40.9 | 2 3 1 |
| 78.44 | 12.9 | 2 4 1 |
| 80.69 | 10.3 | 3 2 3 |